Calculated powder X-ray diffraction pattern of Na5Fe3F14 for Cu Kα (λ = 1.5418 Å), from a GGA+U-relaxed structure.
Lines closer than 0.1° are merged.

Top 12 peaks for 10° ≤ 2θ ≤ 80°, in order of falling intensity:
- hkl 2 0 2, 2θ = 29.28°, 3.050 Å, I = 100
- hkl 4 0 0, 2θ = 47.68°, 1.907 Å, I = 38
- hkl 2 0 0, 2θ = 23.32°, 3.815 Å, I = 38
- hkl 2 2 4, 2θ = 49.29°, 1.849 Å, I = 32
- hkl 0 0 2, 2θ = 17.46°, 5.078 Å, I = 30
- hkl 4 2 2, 2θ = 56.94°, 1.617 Å, I = 27
- hkl 1 0 1, 2θ = 14.52°, 6.100 Å, I = 25
- hkl 2 0 6, 2θ = 59.77°, 1.547 Å, I = 16
- hkl 2 1 1, 2θ = 27.58°, 3.234 Å, I = 16
- hkl 2 1 3, 2θ = 37.42°, 2.403 Å, I = 14
- hkl 4 0 4, 2θ = 60.73°, 1.525 Å, I = 14
- hkl 4 2 6, 2θ = 79.82°, 1.202 Å, I = 12

Structural model:
a = 7.6291 Å, b = 7.6291 Å, c = 10.1559 Å
α = 90.00°, β = 90.00°, γ = 90.00°
Space group P4_2/mnm (No. 136)
Unique sites:
1 Na 0.0000 0.0000 0.0000 x2
2 Na 0.2385 0.2385 0.2580 x8
3 Fe 0.0000 0.0000 0.5000 x2
4 Fe 0.0000 0.5000 0.0000 x4
5 F 0.0000 0.0000 0.3098 x4
6 F 0.0006 0.6837 0.1272 x16
7 F 0.0043 0.2512 0.5000 x8